This entry pairs a crystal structure of SmHoCu4 with its computed PXRD pattern. Radiation: Cu Kα X-rays. Structure: a cell relaxed with GGA-PBE.
No peak broadening, texture or thermal motion is included.

Structural model:
```
data_SmHoCu4
_cell_length_a 4.303
_cell_length_b 6.908
_cell_length_c 7.368
_cell_angle_alpha 90.00
_cell_angle_beta 90.00
_cell_angle_gamma 90.00
_symmetry_space_group_name_H-M 'I m m 2'
_symmetry_Int_Tables_number 44
loop_
_symmetry_equiv_pos_as_xyz
'x,y,z'
'-x,-y,z'
'-x,y,z'
'x,-y,z'
'x+1/2,y+1/2,z+1/2'
'-x+1/2,-y+1/2,z+1/2'
'-x+1/2,y+1/2,z+1/2'
'x+1/2,-y+1/2,z+1/2'
loop_
_atom_site_label
_atom_site_fract_x
_atom_site_fract_y
_atom_site_fract_z
_atom_site_occupancy
Sm1 0.000 0.000 0.000 1
Ho1 0.000 0.500 0.085 1
Cu1 0.000 0.196 0.381 1
Cu2 0.000 0.300 0.710 1
```

Most intense lines, 2θ = 15–90°, low angle first:
2theta	I (rel.)	index
23.95	20.0	1 0 1
34.58	35.2	1 1 2
35.49	100.0	1 2 1
35.63	40.4	0 2 2
41.07	15.1	0 3 1
42.00	31.6	2 0 0
42.37	43.2	1 0 3
56.22	21.4	2 2 2
68.82	17.4	1 3 4
76.98	15.9	3 0 3